For Ga2Hg2I7, a GGA-PBE-relaxed structure gives the computed powder X-ray diffraction pattern in this record (λ = 1.5418 Å (Cu Kα)).
Peak positions follow from Bragg's law for the DFT cell and can differ from measured ones.

Crystal structure
```
data_Ga2Hg2I7
_cell_length_a 7.6904
_cell_length_b 7.9808
_cell_length_c 9.0182
_cell_angle_alpha 86.26
_cell_angle_beta 81.39
_cell_angle_gamma 87.97
_space_group_name_H-M_alt 'P 1'
_space_group_IT_number 1
_space_group_name_Hall 'P 1'
loop_
_atom_site_label
_atom_site_type_symbol
_atom_site_fract_x
_atom_site_fract_y
_atom_site_fract_z
Ga1 Ga 0.0000 0.0000 0.0000
Ga2 Ga 0.3777 0.2219 0.6176
Hg1 Hg 0.5364 0.7126 0.3365
Hg2 Hg 0.7843 0.4429 0.3712
I1 I 0.1449 0.8354 0.2064
I2 I 0.1675 0.4189 0.4832
I3 I 0.2169 0.9405 0.7346
I4 I 0.5343 0.3710 0.7959
I5 I 0.6117 0.0859 0.4103
I6 I 0.7180 0.8592 0.9605
I7 I 0.9812 0.3178 0.0199
```

Most intense lines, 15° ≤ 2θ ≤ 90°, sorted by position:
index	2theta	I (rel.)
1 -1 1	18.59	56.4
0 0 2	19.99	70.2
0 2 0	22.31	82.8
1 0 -2	24.63	100.0
1 -1 2	25.02	55.2
2 1 1	26.05	64.6
2 -1 1	27.09	53.7
1 2 -1	28.09	64.0

***

For InGa2HgI6, a GGA-PBE-relaxed structure gives the computed powder X-ray diffraction pattern in this record (λ = 1.5418 Å (Cu Kα)).
Peak positions follow from Bragg's law for the DFT cell and can differ from measured ones.

Crystal structure
```
data_InGa2HgI6
_cell_length_a 12.7706
_cell_length_b 16.9362
_cell_length_c 11.0086
_cell_angle_alpha 90.00
_cell_angle_beta 92.57
_cell_angle_gamma 90.00
_space_group_name_H-M_alt 'C 1 2/c 1'
_space_group_IT_number 15
_space_group_name_Hall '-C 2yc'
loop_
_atom_site_label
_atom_site_type_symbol
_atom_site_fract_x
_atom_site_fract_y
_atom_site_fract_z
In1 In 0.0000 0.1477 0.2500
Ga1 Ga 0.1406 0.1390 0.7752
Hg1 Hg 0.0000 0.4043 0.7500
I1 I 0.0197 0.1693 0.5630
I2 I 0.1853 0.0127 0.2863
I3 I 0.2043 0.2608 0.1966
```

Most intense lines, 15° ≤ 2θ ≤ 90°, sorted by position:
index	2theta	I (rel.)
0 0 2	16.12	100.0
1 3 0	17.18	28.7
2 2 -1	18.91	29.2
1 3 1	19.12	27.3
2 2 -2	23.38	41.1
2 4 0	25.25	68.1
3 1 -2	26.46	51.5
2 2 3	30.55	27.2

***

For In2GaHgI3, a GGA-PBE-relaxed structure gives the computed powder X-ray diffraction pattern in this record (λ = 1.5418 Å (Cu Kα)).
Peak positions follow from Bragg's law for the DFT cell and can differ from measured ones.

Crystal structure
```
data_In2GaHgI3
_cell_length_a 5.2616
_cell_length_b 5.9543
_cell_length_c 18.1967
_cell_angle_alpha 90.00
_cell_angle_beta 90.00
_cell_angle_gamma 90.00
_space_group_name_H-M_alt 'I m m m'
_space_group_IT_number 71
_space_group_name_Hall '-I 2 2'
loop_
_atom_site_label
_atom_site_type_symbol
_atom_site_fract_x
_atom_site_fract_y
_atom_site_fract_z
In1 In 0.0000 0.0000 0.1492
Ga1 Ga 0.0000 0.0000 0.5000
Hg1 Hg 0.0000 0.5000 0.0000
I1 I 0.0000 0.0000 0.3259
I2 I 0.0000 0.5000 0.5000
```

Most intense lines, 15° ≤ 2θ ≤ 90°, sorted by position:
index	2theta	I (rel.)
1 1 2	24.61	75.9
0 0 6	29.45	37.8
0 2 0	30.00	100.0
2 0 0	34.08	29.5
0 2 6	42.55	27.6
2 0 6	45.65	22.5
2 2 0	46.05	34.4
2 2 6	55.60	42.2

***

For KGa2HgI6, a GGA-PBE-relaxed structure gives the computed powder X-ray diffraction pattern in this record (λ = 1.5418 Å (Cu Kα)).
Peak positions follow from Bragg's law for the DFT cell and can differ from measured ones.

Crystal structure
```
data_KGa2HgI6
_cell_length_a 16.3556
_cell_length_b 15.6663
_cell_length_c 9.0977
_cell_angle_alpha 90.00
_cell_angle_beta 113.74
_cell_angle_gamma 90.00
_space_group_name_H-M_alt 'C 1 2/c 1'
_space_group_IT_number 15
_space_group_name_Hall '-C 2yc'
loop_
_atom_site_label
_atom_site_type_symbol
_atom_site_fract_x
_atom_site_fract_y
_atom_site_fract_z
K1 K 0.0000 0.0252 0.2500
Ga1 Ga 0.2363 0.0988 0.6986
Hg1 Hg 0.0000 0.4338 0.7500
I1 I 0.0709 0.1593 0.5911
I2 I 0.1392 0.2908 0.1849
I3 I 0.2463 0.0225 0.4231
```

Most intense lines, 15° ≤ 2θ ≤ 90°, sorted by position:
index	2theta	I (rel.)
2 2 -1	16.74	100.0
1 3 1	22.14	80.6
3 1 -2	22.34	40.0
2 2 -2	22.84	92.5
4 2 -1	24.61	43.7
0 4 1	25.10	82.7
4 2 0	26.39	96.0
2 2 -3	31.65	51.1

***

For NaGa2Hg2I6, a GGA-PBE-relaxed structure gives the computed powder X-ray diffraction pattern in this record (λ = 1.5418 Å (Cu Kα)).
Peak positions follow from Bragg's law for the DFT cell and can differ from measured ones.

Crystal structure
```
data_NaGa2Hg2I6
_cell_length_a 7.9612
_cell_length_b 7.9612
_cell_length_c 9.0315
_cell_angle_alpha 90.00
_cell_angle_beta 90.00
_cell_angle_gamma 120.00
_space_group_name_H-M_alt 'P -3'
_space_group_IT_number 147
_space_group_name_Hall '-P 3'
loop_
_atom_site_label
_atom_site_type_symbol
_atom_site_fract_x
_atom_site_fract_y
_atom_site_fract_z
Na1 Na 0.0000 0.0000 0.0000
Ga1 Ga 0.3333 0.6667 0.6873
Hg1 Hg 0.3333 0.6667 0.3994
I1 I 0.0100 0.6599 0.7930
```

Most intense lines, 15° ≤ 2θ ≤ 90°, sorted by position:
index	2theta	I (rel.)
0 1 1	16.17	19.7
0 0 2	19.66	17.6
1 1 1	24.44	100.0
2 -1 2	29.92	24.3
1 1 3	37.45	28.0
3 0 0	39.20	41.3
2 -1 4	46.23	16.7
4 -2 1	46.74	16.7

***

For In9GaHg2, a GGA-PBE-relaxed structure gives the computed powder X-ray diffraction pattern in this record (λ = 1.5418 Å (Cu Kα)).
Peak positions follow from Bragg's law for the DFT cell and can differ from measured ones.

Crystal structure
```
data_In9GaHg2
_cell_length_a 5.6159
_cell_length_b 7.0380
_cell_length_c 8.4953
_cell_angle_alpha 77.07
_cell_angle_beta 88.29
_cell_angle_gamma 82.04
_space_group_name_H-M_alt 'P -1'
_space_group_IT_number 2
_space_group_name_Hall '-P 1'
loop_
_atom_site_label
_atom_site_type_symbol
_atom_site_fract_x
_atom_site_fract_y
_atom_site_fract_z
In1 In 0.0000 0.0000 0.0000
In2 In 0.0382 0.4406 0.3254
In3 In 0.0933 0.8888 0.3673
In4 In 0.4261 0.2199 0.8264
In5 In 0.4658 0.8361 0.6711
Ga1 Ga 0.5000 0.5000 0.5000
Hg1 Hg 0.2372 0.5971 0.9736
```

Most intense lines, 15° ≤ 2θ ≤ 90°, sorted by position:
index	2theta	I (rel.)
1 1 -2	31.09	39.0
-1 2 1	32.49	100.0
1 -2 0	32.69	17.3
1 2 -1	32.92	17.4
2 0 1	34.01	34.5
1 0 3	36.34	15.9
1 -1 3	42.04	17.3
0 1 4	42.74	21.7

***

For InGaHg, a GGA-PBE-relaxed structure gives the computed powder X-ray diffraction pattern in this record (λ = 1.5418 Å (Cu Kα)).
Peak positions follow from Bragg's law for the DFT cell and can differ from measured ones.

Crystal structure
```
data_InGaHg
_cell_length_a 5.8427
_cell_length_b 5.3419
_cell_length_c 9.4086
_cell_angle_alpha 90.00
_cell_angle_beta 90.00
_cell_angle_gamma 90.00
_space_group_name_H-M_alt 'P n m a'
_space_group_IT_number 62
_space_group_name_Hall '-P 2ac 2n'
loop_
_atom_site_label
_atom_site_type_symbol
_atom_site_fract_x
_atom_site_fract_y
_atom_site_fract_z
In1 In 0.1610 0.2500 0.1124
Ga1 Ga 0.0321 0.7500 0.2508
Hg1 Hg 0.1636 0.2500 0.4483
```

Most intense lines, 15° ≤ 2θ ≤ 90°, sorted by position:
index	2theta	I (rel.)
1 1 1	24.48	27.2
2 0 1	32.08	22.4
0 1 3	33.12	100.0
0 2 0	33.55	64.2
2 1 0	35.01	48.3
2 1 1	36.33	23.1
1 1 3	36.61	29.3
2 1 2	40.06	36.2

***

For In4GaHg6, a GGA-PBE-relaxed structure gives the computed powder X-ray diffraction pattern in this record (λ = 1.5418 Å (Cu Kα)).
Peak positions follow from Bragg's law for the DFT cell and can differ from measured ones.

Crystal structure
```
data_In4GaHg6
_cell_length_a 9.1461
_cell_length_b 10.0633
_cell_length_c 13.1973
_cell_angle_alpha 90.00
_cell_angle_beta 90.00
_cell_angle_gamma 90.00
_space_group_name_H-M_alt 'F m m 2'
_space_group_IT_number 42
_space_group_name_Hall 'F 2 -2'
loop_
_atom_site_label
_atom_site_type_symbol
_atom_site_fract_x
_atom_site_fract_y
_atom_site_fract_z
In1 In 0.0000 0.2288 0.0000
In2 In 0.1784 0.0000 0.7805
Ga1 Ga 0.0000 0.0000 0.5903
Hg1 Hg 0.0000 0.1552 0.2959
Hg2 Hg 0.2180 0.0000 0.0022
Hg3 Hg 0.2500 0.2500 0.1560
```

Most intense lines, 15° ≤ 2θ ≤ 90°, sorted by position:
index	2theta	I (rel.)
2 0 2	23.67	29.1
1 3 1	29.15	37.9
2 2 2	29.67	71.2
3 1 1	31.40	34.2
0 2 4	32.45	22.6
2 2 4	38.09	100.0
4 0 0	39.41	28.5
0 0 6	40.98	44.8